1.
Starting from a crystal structure in Alexandria, relaxed with GGA-PBE, the X-ray powder pattern of U2Mn17B2 was calculated for copper Kα.
Intensities are scaled so that the largest is 100.

Largest 10 diffraction maxima, by angle, 2θ = 10–90°:
2theta, Rel. int.
21.00, 39
30.26, 36
30.40, 33
36.80, 60
38.16, 36
42.75, 100
42.99, 66
43.26, 40
44.28, 31
44.34, 41

```
U2Mn17B2
1.0
4.7330 -4.2351 0.0000
4.7330 4.2351 0.0000
-1.0385 0.0000 6.3180
U Mn B
2 17 2
direct
0.1421 0.1421 0.3306
0.8579 0.8579 0.6694
0.0000 0.5000 0.0000
0.1500 0.1500 0.8572
0.1605 0.6511 0.3406
0.2219 0.7781 0.0000
0.2276 0.4955 0.7300
0.3489 0.8395 0.6594
0.3962 0.3962 0.1009
0.4955 0.2276 0.7300
0.5000 0.0000 0.0000
0.5000 0.5000 0.5000
0.5045 0.7724 0.2700
0.6038 0.6038 0.8991
0.6511 0.1605 0.3406
0.7724 0.5045 0.2700
0.7781 0.2219 0.0000
0.8395 0.3489 0.6594
0.8500 0.8500 0.1428
0.0000 0.5000 0.5000
0.5000 0.0000 0.5000
```

---

2.
Starting from a crystal structure in Alexandria, relaxed with GGA-PBE, the X-ray powder pattern of ErTi5 was calculated for copper Kα.
Intensities are scaled so that the largest is 100.

Largest 10 diffraction maxima, by angle, 2θ = 10–90°:
2theta, Rel. int.
13.30, 15
22.46, 15
25.22, 11
31.17, 16
36.68, 100
40.65, 18
43.46, 15
43.66, 15
71.37, 11
75.29, 11

```
ErTi5
1.0
2.0734 -6.6581 0.0000
2.0734 6.6581 0.0000
0.0000 0.0000 4.1649
Er Ti
1 5
direct
0.0000 0.0000 0.0000
0.1758 0.8242 0.5000
0.3215 0.6785 0.0000
0.5000 0.5000 0.5000
0.6785 0.3215 0.0000
0.8242 0.1758 0.5000
```

---

3.
Starting from a crystal structure in Alexandria, relaxed with GGA-PBE, the X-ray powder pattern of Ce2Mg2Ge3 was calculated for copper Kα.
Intensities are scaled so that the largest is 100.

Largest 10 diffraction maxima, by angle, 2θ = 10–90°:
2theta, Rel. int.
11.32, 35
26.75, 36
30.41, 64
30.87, 85
34.47, 93
35.30, 59
35.92, 100
36.21, 36
41.10, 74
46.97, 47

```
Ce2Mg2Ge3
1.0
7.8339 -2.1963 0.0000
7.8339 2.1963 0.0000
-7.2269 0.0000 9.7855
Ce Mg Ge
4 4 6
direct
0.1034 0.1034 0.4492
0.2296 0.2296 0.8264
0.7704 0.7704 0.1736
0.8966 0.8966 0.5508
0.0901 0.0901 0.1613
0.4485 0.4485 0.1746
0.5515 0.5515 0.8254
0.9099 0.9099 0.8387
0.1365 0.1365 0.9804
0.3356 0.3356 0.6713
0.4170 0.4170 0.3776
0.5830 0.5830 0.6224
0.6644 0.6644 0.3287
0.8635 0.8635 0.0196
```

---

Which formula does entry 2 have? ErTi5

---

Repeat the first record exactly.
Starting from a crystal structure in Alexandria, relaxed with GGA-PBE, the X-ray powder pattern of U2Mn17B2 was calculated for copper Kα.
Intensities are scaled so that the largest is 100.

Largest 10 diffraction maxima, by angle, 2θ = 10–90°:
2theta, Rel. int.
21.00, 39
30.26, 36
30.40, 33
36.80, 60
38.16, 36
42.75, 100
42.99, 66
43.26, 40
44.28, 31
44.34, 41

```
U2Mn17B2
1.0
4.7330 -4.2351 0.0000
4.7330 4.2351 0.0000
-1.0385 0.0000 6.3180
U Mn B
2 17 2
direct
0.1421 0.1421 0.3306
0.8579 0.8579 0.6694
0.0000 0.5000 0.0000
0.1500 0.1500 0.8572
0.1605 0.6511 0.3406
0.2219 0.7781 0.0000
0.2276 0.4955 0.7300
0.3489 0.8395 0.6594
0.3962 0.3962 0.1009
0.4955 0.2276 0.7300
0.5000 0.0000 0.0000
0.5000 0.5000 0.5000
0.5045 0.7724 0.2700
0.6038 0.6038 0.8991
0.6511 0.1605 0.3406
0.7724 0.5045 0.2700
0.7781 0.2219 0.0000
0.8395 0.3489 0.6594
0.8500 0.8500 0.1428
0.0000 0.5000 0.5000
0.5000 0.0000 0.5000
```